# NpMnAsO6
Theoretical PXRD pattern, Cu Kα (weighted mean of Kα1 and Kα2). Input: a DFT-relaxed cell (PBE+U, Alexandria).

Cell and atoms:
```
18
Lattice="5.4868 0.0000 0.0000 -2.7434 4.7517 0.0000 0.0000 0.0000 9.1187" Properties=species:S:1:pos:R:3 pbc="T T T"
Np 0.0000 3.1678 2.2797
Np 2.7434 1.5839 6.8390
Mn 0.0000 0.0000 0.0000
Mn 0.0000 0.0000 4.5594
As 0.0000 3.1678 6.8390
As 2.7434 1.5839 2.2797
O -0.9265 1.6749 1.2281
O -1.7562 3.1119 3.3312
O 0.9265 1.6749 3.3312
O -0.8296 4.7167 1.2281
O 1.9138 0.0350 5.7875
O 0.9872 1.6399 7.8906
O 1.7562 3.1119 1.2281
O 0.8296 4.7167 3.3312
O 3.5731 0.0350 7.8906
O 1.8169 3.0768 5.7875
O 4.4996 1.6399 5.7875
O 3.6699 3.0768 7.8906
```

Main lines, most intense first (10 to 80 degrees two-theta):
- 27.10 deg, I = 100, (1 0 2)
- 21.08 deg, I = 71, (1 0 1)
- 32.64 deg, I = 68, (1 1 0)
- 38.29 deg, I = 61, (1 1 2)
- 52.17 deg, I = 61, (1 1 4)
- 19.47 deg, I = 57, (0 0 2)
- 42.92 deg, I = 28, (2 0 2)
- 18.67 deg, I = 28, (1 0 0)
- 54.95 deg, I = 28, (2 1 2)
- 58.25 deg, I = 26, (3 0 0)
- 35.04 deg, I = 20, (1 0 3)
- 62.03 deg, I = 16, (3 0 2)